# CeCo3B4O12
Simulated powder diffraction line list, Cu Kα (λ = 1.5418 Å). Input: a PBE+U-relaxed structure.

Cell and atoms:
Cell lengths 6.1134, 6.1134, 6.1134 Å; angles 103.61, 103.61, 103.61 degrees
Element x y z (fractional)
Ce 0.0000 0.0000 0.0000
Co 0.0000 0.5554 0.4446
Co 0.4446 0.0000 0.5554
Co 0.5554 0.4446 0.0000
B 0.0530 0.5000 0.9470
B 0.5000 0.5000 0.5000
B 0.5000 0.9470 0.0530
B 0.9470 0.0530 0.5000
O 0.0337 0.6370 0.7969
O 0.0907 0.9093 0.5000
O 0.2031 0.3630 0.9663
O 0.3563 0.6437 0.5000
O 0.3630 0.9663 0.2031
O 0.5000 0.0907 0.9093
O 0.5000 0.3563 0.6437
O 0.6370 0.7969 0.0337
O 0.6437 0.5000 0.3563
O 0.7969 0.0337 0.6370
O 0.9093 0.5000 0.0907
O 0.9663 0.2031 0.3630

Most intense lines, 2θ from 15° to 90°, in order of falling intensity:
2θ (°)	I/Imax
31.65	100
24.31	78
30.70	28
52.14	27
45.83	25
18.47	24
15.68	24
37.44	23